Sm5YHg6: simulated X-ray diffraction stick pattern (copper Kα), based on a structure optimized by DFT (GGA-PBE).

Largest 6 diffraction maxima, low angle first, 2θ from 10° to 80°:
Position (°2θ)  I_rel  index
33.43  100  1 3 2
33.60  49  2 0 0
48.25  18  2 6 0
59.65  19  2 0 4
59.97  38  3 3 2
70.24  12  2 6 4

Atomic structure:
Cell: 5.330 16.018 7.618 Å, 90.00 90.00 90.00°
Space group Cmmm (No. 65)
Inequivalent atoms, fractional coordinates:
Sm1 0.000 0.000 0.000 [2 per cell]
Sm2 0.000 0.332 0.000 [4 per cell]
Sm3 0.000 0.333 0.500 [4 per cell]
Y1 0.000 0.000 0.500 [2 per cell]
Hg1 0.000 0.165 0.253 [8 per cell]
Hg2 0.000 0.500 0.255 [4 per cell]